Calculated powder diffractogram
Compound: BaDyBi2
Radiation: Cu Kα (λ = 1.5418 Å)
Structure: a crystal structure in Alexandria, relaxed with GGA-PBE

Cell and atoms:
```
BaDyBi2
1.0
2.301 1.328 8.423
-2.301 1.328 8.423
0.000 -2.657 8.423
Ba Dy Bi
1 1 2
Cartesian
0.000 0.000 0.000
0.000 0.000 20.939
0.000 0.000 5.928
0.000 0.000 10.783
```

Largest 10 diffraction maxima, most intense first, 2θ from 10° to 80°:
d 3.129, I = 100
d 2.301, I = 50
d 2.676, I = 27
d 3.801, I = 26
d 2.134, I = 23
d 1.854, I = 23
d 1.444, I = 21
d 1.553, I = 17
d 3.371, I = 16
d 8.423, I = 12